(1)
# CdAs4O16
Simulated powder diffractogram, copper Kα. Input: a crystal structure in the Materials Project, relaxed with GGA-PBE.

Largest 10 diffraction maxima, sorted by position, 2θ from 5° to 70°:
d (Å)  I (rel.)  (hkl)
8.474  70  0 0 1
4.940  53  1 0 -1
4.839  43  0 1 1
4.344  34  1 1 0
4.237  45  0 0 2
4.168  100  1 -1 1
3.469  47  0 2 0
3.396  80  1 1 -2
3.256  73  1 -1 2
2.978  69  0 2 1

Crystal structure
a = 5.7865 Å, b = 7.1421 Å, c = 8.7372 Å
α = 103.48°, β = 93.71°, γ = 91.55°
Space group P-1 (No. 2)
Inequivalent atoms, fractional coordinates:
Cd (0.0000, 0.0000, 0.0000)
As (0.1432, 0.4566, 0.2526)
As (0.4776, 0.0712, 0.7712)
O (0.0199, 0.6827, 0.3060)
O (0.0572, 0.7259, 0.8254)
O (0.2287, 0.8744, 0.1801)
O (0.2486, 0.4541, 0.4432)
O (0.3248, 0.1382, 0.9352)
O (0.3613, 0.4715, 0.1294)
O (0.3737, 0.1559, 0.6113)
O (0.4361, 0.8240, 0.6899)

(2)
# MgSi
Simulated powder diffractogram, copper Kα. Input: a crystal structure in the Materials Project, relaxed with GGA-PBE.

Largest 10 diffraction maxima, sorted by position, 2θ from 5° to 70°:
d (Å)  I (rel.)  (hkl)
2.911  13  2 0 2
2.380  19  4 0 0
2.365  61  3 1 1
2.332  35  1 1 3
2.313  27  0 0 4
2.296  53  0 2 0
2.289  100  3 1 -3
1.652  12  4 2 0
1.629  18  0 2 4
1.456  10  4 0 4

Crystal structure
a = 9.9736 Å, b = 4.5916 Å, c = 9.6925 Å
α = 90.00°, β = 107.35°, γ = 90.00°
Space group C2/m (No. 12)
Inequivalent atoms, fractional coordinates:
Mg (0.1164, 0.0000, 0.1368)
Mg (0.1253, 0.5000, 0.6250)
Mg (0.1797, 0.0000, 0.8452)
Si (0.0669, 0.5000, 0.9076)
Si (0.0907, 0.0000, 0.4302)
Si (0.1683, 0.5000, 0.3475)

(3)
# CsCeCuS3
Simulated powder diffractogram, copper Kα. Input: a crystal structure in the Materials Project, relaxed with GGA-PBE.

Largest 10 diffraction maxima, sorted by position, 2θ from 5° to 70°:
d (Å)  I (rel.)  (hkl)
7.650  59  0 2 0
4.321  85  0 2 2
3.825  59  0 4 0
3.180  37  1 3 0
3.145  48  1 1 2
3.044  100  1 3 1
2.719  48  1 3 2
2.615  76  0 0 4
2.216  55  1 5 2
2.160  40  0 4 4

Crystal structure
a = 4.0697 Å, b = 15.3006 Å, c = 10.4720 Å
α = 90.00°, β = 90.00°, γ = 90.00°
Space group Cmcm (No. 63)
Inequivalent atoms, fractional coordinates:
Cs (0.0000, 0.2402, 0.2500)
Ce (0.0000, 0.5000, 0.0000)
Cu (0.0000, 0.0345, 0.7500)
S (0.0000, 0.1129, 0.5619)
S (0.0000, 0.4487, 0.7500)

(4)
# CaP2H2O7
Simulated powder diffractogram, copper Kα. Input: a crystal structure in the Materials Project, relaxed with GGA-PBE.

Largest 10 diffraction maxima, sorted by position, 2θ from 5° to 70°:
d (Å)  I (rel.)  (hkl)
4.503  22  1 1 1
4.068  10  0 2 0
3.753  52  0 2 1
3.406  100  1 1 2
3.240  65  2 0 -2
2.728  14  2 2 -1
2.348  12  3 1 0
2.248  17  2 2 -3
2.198  14  1 3 2
1.876  19  2 0 4

Crystal structure
a = 7.4947 Å, b = 8.1359 Å, c = 9.9019 Å
α = 90.00°, β = 100.72°, γ = 90.00°
Space group C2/c (No. 15)
Inequivalent atoms, fractional coordinates:
Ca (0.0000, 0.0000, 0.0000)
P (0.1628, 0.3860, 0.1904)
H (0.2135, 0.2927, 0.6519)
O (0.0000, 0.4762, 0.2500)
O (0.0915, 0.2404, 0.1049)
O (0.1969, 0.1707, 0.6749)
O (0.2474, 0.0227, 0.3768)

(5)
# Mg2Ir2O5
Simulated powder diffractogram, copper Kα. Input: a crystal structure in the Materials Project, relaxed with GGA-PBE.

Largest 10 diffraction maxima, sorted by position, 2θ from 5° to 70°:
d (Å)  I (rel.)  (hkl)
4.261  52  0 0 2
3.453  53  1 0 0
2.683  100  1 0 2
2.442  33  1 1 0
2.119  38  1 1 2
1.813  19  1 0 4
1.727  20  2 0 0
1.605  31  1 1 4
1.600  14  2 0 2
1.452  31  2 1 2

Crystal structure
a = 3.4534 Å, b = 3.4534 Å, c = 8.5226 Å
α = 90.00°, β = 90.00°, γ = 90.00°
Space group P4/mmm (No. 123)
Inequivalent atoms, fractional coordinates:
Mg (0.0000, 0.0000, 0.2443)
Ir (0.5000, 0.5000, 0.0000)
Ir (0.5000, 0.5000, 0.5000)
O (0.0000, 0.0000, 0.0000)
O (0.0000, 0.5000, 0.3620)

(6)
# Cs2CuMoBr6
Simulated powder diffractogram, copper Kα. Input: a crystal structure in the Materials Project, relaxed with GGA-PBE.

Largest 10 diffraction maxima, sorted by position, 2θ from 5° to 70°:
d (Å)  I (rel.)  (hkl)
3.807  41  2 2 0
3.109  80  2 2 2
2.692  100  4 0 0
2.198  18  4 2 2
1.904  70  4 4 0
1.703  8  6 2 0
1.624  34  6 2 2
1.554  24  4 4 4
1.439  9  6 4 2
1.346  11  8 0 0

Crystal structure
a = 10.7692 Å, b = 10.7692 Å, c = 10.7692 Å
α = 90.00°, β = 90.00°, γ = 90.00°
Space group Fm-3m (No. 225)
Inequivalent atoms, fractional coordinates:
Cs (0.2500, 0.2500, 0.2500)
Cu (0.0000, 0.0000, 0.0000)
Mo (0.0000, 0.0000, 0.5000)
Br (0.0000, 0.0000, 0.2535)

(7)
# KMgC2O10
Simulated powder diffractogram, copper Kα. Input: a crystal structure in the Materials Project, relaxed with GGA-PBE.

Largest 10 diffraction maxima, sorted by position, 2θ from 5° to 70°:
d (Å)  I (rel.)  (hkl)
4.930  33  1 0 0
4.324  33  1 0 1
4.216  85  0 1 -1
3.692  100  1 -1 0
3.214  35  1 -1 1
3.195  21  1 1 -1
3.031  87  1 0 2
2.900  40  1 2 0
2.340  22  1 1 -2
2.085  54  2 2 2

Crystal structure
a = 5.0742 Å, b = 6.8153 Å, c = 7.1804 Å
α = 74.17°, β = 78.77°, γ = 79.52°
Space group P-1 (No. 2)
Inequivalent atoms, fractional coordinates:
K (0.0000, 0.0000, 0.0000)
Mg (0.5000, 0.5000, 0.5000)
C (0.3787, 0.2190, 0.2917)
O (0.1964, 0.4387, 0.8022)
O (0.2371, 0.0909, 0.2730)
O (0.2967, 0.3299, 0.4174)
O (0.3922, 0.7687, 0.8204)
O (0.4096, 0.3057, 0.7946)

(8)
# NdCo10Mo2
Simulated powder diffractogram, copper Kα. Input: a crystal structure in the Materials Project, relaxed with GGA-PBE.

Largest 10 diffraction maxima, sorted by position, 2θ from 5° to 70°:
d (Å)  I (rel.)  (hkl)
2.961  15  1 1 2
2.698  13  0 1 3
2.431  60  1 3 0
2.350  20  2 0 0
2.134  21  0 0 4
2.128  31  0 4 0
2.112  100  1 2 3
2.058  69  2 2 0
1.906  17  0 2 4
1.853  26  2 2 2

Crystal structure
a = 4.6992 Å, b = 8.5116 Å, c = 8.5372 Å
α = 90.00°, β = 90.00°, γ = 90.00°
Space group Immm (No. 71)
Inequivalent atoms, fractional coordinates:
Nd (0.0000, 0.0000, 0.0000)
Co (0.0000, 0.2839, 0.5000)
Co (0.0000, 0.3606, 0.0000)
Co (0.0000, 0.5000, 0.2752)
Co (0.2500, 0.2500, 0.2500)
Mo (0.0000, 0.0000, 0.3593)

(9)
# Ti2FeOs
Simulated powder diffractogram, copper Kα. Input: a crystal structure in the Materials Project, relaxed with GGA-PBE.

Largest 8 diffraction maxima, sorted by position, 2θ from 5° to 70°:
d (Å)  I (rel.)  (hkl)
3.509  35  1 1 1
3.039  26  2 0 0
2.149  100  2 2 0
1.833  18  3 1 1
1.755  7  2 2 2
1.520  16  4 0 0
1.395  8  3 3 1
1.359  10  4 2 0

Crystal structure
a = 6.0785 Å, b = 6.0785 Å, c = 6.0785 Å
α = 90.00°, β = 90.00°, γ = 90.00°
Space group Fm-3m (No. 225)
Inequivalent atoms, fractional coordinates:
Ti (0.2500, 0.2500, 0.2500)
Fe (0.0000, 0.0000, 0.0000)
Os (0.0000, 0.0000, 0.5000)